No. 1
For NaHfAsO6, the PBE geometry in Alexandria gives the calculated powder diffractogram in this record (Cu Kα).
Intensities are scaled so that the largest is 100.

Peak list (6 most intense, 10 to 90 degrees two-theta, in order of falling intensity)
2θ 18.00, rel. 100, hkl 0 0 2
2θ 26.49, rel. 87, hkl 1 0 2
2θ 38.48, rel. 71, hkl 1 1 2
2θ 50.51, rel. 61, hkl 1 1 4
2θ 19.28, rel. 52, hkl 1 0 0
2θ 33.72, rel. 52, hkl 1 1 0

Cell and atoms:
```
data_NaHfAsO6
_chemical_formula_sum 'Na2 Hf2 As2 O12'
_cell_length_a 5.3157
_cell_length_b 5.3157
_cell_length_c 9.8572
_cell_angle_alpha 90.00
_cell_angle_beta 90.00
_cell_angle_gamma 120.00
_space_group_name_H-M_alt 'P -3 1 c'
_space_group_IT_number 163
_space_group_name_Hall '-P 3 2c'
loop_
_atom_site_label
_atom_site_type_symbol
_atom_site_fract_x
_atom_site_fract_y
_atom_site_fract_z
Na1 Na 0.0000 0.0000 0.0000
Hf1 Hf 0.3333 0.6667 0.2500
As1 As 0.3333 0.6667 0.7500
O1 O 0.0345 0.3871 0.6454
```

No. 2
For Na3HfAs2O8, the PBE geometry in Alexandria gives the calculated powder diffractogram in this record (Cu Kα).
Intensities are scaled so that the largest is 100.

Peak list (6 most intense, 10 to 90 degrees two-theta, in order of falling intensity)
2θ 31.22, rel. 100, hkl 1 1 0
2θ 21.94, rel. 74, hkl 1 0 1
2θ 55.52, rel. 29, hkl 3 0 0
2θ 44.74, rel. 27, hkl 2 0 2
2θ 12.65, rel. 23, hkl 0 0 1
2θ 50.31, rel. 15, hkl 2 1 1

Cell and atoms:
```
data_Na3HfAs2O8
_chemical_formula_sum 'Na3 Hf1 As2 O8'
_cell_length_a 5.7372
_cell_length_b 5.7372
_cell_length_c 6.9964
_cell_angle_alpha 90.00
_cell_angle_beta 90.00
_cell_angle_gamma 120.00
_space_group_name_H-M_alt 'P -3 m 1'
_space_group_IT_number 164
_space_group_name_Hall '-P 3 2"'
loop_
_atom_site_label
_atom_site_type_symbol
_atom_site_fract_x
_atom_site_fract_y
_atom_site_fract_z
Na1 Na 0.0000 0.0000 0.0000
Na2 Na 0.3333 0.6667 0.6650
Hf1 Hf 0.0000 0.0000 0.5000
As1 As 0.3333 0.6667 0.2177
O1 O 0.1678 0.3356 0.3238
O2 O 0.3333 0.6667 0.9765
```

No. 3
For Hf3NbAs4, the PBE geometry in Alexandria gives the calculated powder diffractogram in this record (Cu Kα).
Intensities are scaled so that the largest is 100.

Peak list (6 most intense, 10 to 90 degrees two-theta, in order of falling intensity)
2θ 23.57, rel. 100, hkl 0 2 1
2θ 33.98, rel. 82, hkl 2 0 0
2θ 41.77, rel. 44, hkl 2 2 1
2θ 38.84, rel. 40, hkl 0 3 2
2θ 35.69, rel. 40, hkl 0 1 3
2θ 52.54, rel. 34, hkl 2 3 2

Cell and atoms:
```
data_Hf3NbAs4
_chemical_formula_sum 'Hf6 Nb2 As8'
_cell_length_a 5.276
_cell_length_b 8.598
_cell_length_c 7.890
_cell_angle_alpha 90.00
_cell_angle_beta 90.00
_cell_angle_gamma 90.00
_space_group_name_H-M_alt 'P m m n'
_space_group_IT_number 59
loop_
_space_group_symop_operation_xyz
'x,y,z'
'-x,-y,-z'
'-x+1/2,-y+1/2,z'
'x+1/2,y+1/2,-z'
'x+1/2,-y,-z'
'-x+1/2,y,z'
'-x,y+1/2,-z'
'x,-y+1/2,z'
loop_
_atom_site_label
_atom_site_type_symbol
_atom_site_fract_x
_atom_site_fract_y
_atom_site_fract_z
Hf1 Hf 0.250 0.043 0.155
Hf2 Hf 0.250 0.750 0.597
Nb1 Nb 0.250 0.250 0.738
As1 As 0.250 0.250 0.414
As2 As 0.250 0.544 0.838
As3 As 0.250 0.750 0.251
```